Calculated PXRD pattern
Compound: NaCr2CuO8
Radiation: Cu Kα (λ = 1.5418 Å)
Structure: the PBE+U geometry in Alexandria
Lines closer than 0.1° are merged.

Peak list (10 most intense, 2θ = 10–90°, most intense first)
d [Å]  Position (°2θ)  I (rel.)
3.423  26.03  100
7.531  11.75  36
2.485  36.15  33
2.361  38.12  27
1.501  61.82  17
2.011  45.08  16
1.563  59.10  16
4.228  21.01  14
1.435  65.00  14
1.410  66.31  9

Cell: 4.9700 4.9700 22.5926 Å, 90.00 90.00 120.00°
Space group R-3 (No. 148, hexagonal axes)
Unique sites:
Na 0.0000 0.0000 0.0000 [3 per cell]
Cr 0.0000 0.0000 0.2421 [6 per cell]
Cu 0.0000 0.0000 0.5000 [3 per cell]
O 0.0000 0.0000 0.3144 [6 per cell]
O 0.0016 0.6417 0.1138 [18 per cell]